PrMo4: calculated powder diffraction line list (Cu Kα (λ = 1.5418 Å)), based on a structure optimized by DFT (GGA-PBE).
Lines closer than 0.1° are merged.

Structure:
Unit cell a=4.815 b=4.815 c=4.815 alpha=90.00 beta=90.00 gamma=90.00
Fractional coordinates of all 5 atoms:
Pr 0.000 0.000 0.000
Mo 0.000 0.000 0.500
Mo 0.000 0.500 0.000
Mo 0.500 0.000 0.000
Mo 0.500 0.500 0.500

Principal peaks in the range 10° ≤ 2θ ≤ 90°, sorted by position:
| two_theta | d (Å) | I_rel |
| --- | --- | --- |
| 18.43 | 4.815 | 42 |
| 26.17 | 3.405 | 36 |
| 32.20 | 2.780 | 44 |
| 37.35 | 2.408 | 100 |
| 41.95 | 2.153 | 20 |
| 46.18 | 1.966 | 16 |
| 53.85 | 1.702 | 67 |
| 64.15 | 1.452 | 17 |
| 67.37 | 1.390 | 23 |
| 79.64 | 1.204 | 11 |

---

K3RuBr6: calculated powder diffraction line list (Cu Kα (λ = 1.5418 Å)), based on a structure optimized by DFT (GGA-PBE).
Lines closer than 0.1° are merged.

Structure:
Unit cell a=7.662 b=8.012 c=13.294 alpha=90.00 beta=123.89 gamma=90.00
Fractional coordinates of all 20 atoms:
K 0.000 0.000 0.000
K 0.000 0.500 0.500
K 0.283 0.081 0.757
K 0.283 0.419 0.257
K 0.717 0.581 0.743
K 0.717 0.919 0.243
Ru 0.500 0.000 0.500
Ru 0.500 0.500 0.000
Br 0.177 0.026 0.285
Br 0.177 0.474 0.785
Br 0.285 0.666 0.057
Br 0.285 0.834 0.557
Br 0.399 0.230 0.056
Br 0.399 0.270 0.556
Br 0.601 0.730 0.444
Br 0.601 0.770 0.944
Br 0.715 0.166 0.443
Br 0.715 0.334 0.943
Br 0.823 0.526 0.215
Br 0.823 0.974 0.715

Principal peaks in the range 10° ≤ 2θ ≤ 90°, sorted by position:
| two_theta | d (Å) | I_rel |
| --- | --- | --- |
| 13.66 | 6.484 | 74 |
| 13.92 | 6.360 | 47 |
| 16.02 | 5.531 | 100 |
| 25.78 | 3.455 | 30 |
| 26.65 | 3.345 | 38 |
| 27.16 | 3.284 | 57 |
| 27.51 | 3.242 | 30 |
| 32.34 | 2.768 | 51 |
| 36.55 | 2.458 | 31 |
| 40.86 | 2.209 | 38 |

---

Ac2OsC2: calculated powder diffraction line list (Cu Kα (λ = 1.5418 Å)), based on a structure optimized by DFT (GGA-PBE).
Lines closer than 0.1° are merged.

Structure:
Unit cell a=6.694 b=5.717 c=10.884 alpha=90.00 beta=90.00 gamma=90.00
Fractional coordinates of all 20 atoms:
Ac 0.028 0.250 0.223
Ac 0.206 0.250 0.545
Ac 0.294 0.750 0.045
Ac 0.472 0.750 0.723
Ac 0.528 0.250 0.277
Ac 0.706 0.250 0.955
Ac 0.794 0.750 0.455
Ac 0.972 0.750 0.777
Os 0.238 0.250 0.849
Os 0.262 0.750 0.349
Os 0.738 0.250 0.651
Os 0.762 0.750 0.151
C 0.019 0.750 0.246
C 0.210 0.750 0.523
C 0.290 0.250 0.023
C 0.481 0.250 0.746
C 0.519 0.750 0.254
C 0.710 0.750 0.977
C 0.790 0.250 0.477
C 0.981 0.250 0.754

Principal peaks in the range 10° ≤ 2θ ≤ 90°, sorted by position:
| two_theta | d (Å) | I_rel |
| --- | --- | --- |
| 27.97 | 3.190 | 7 |
| 29.15 | 3.063 | 38 |
| 30.96 | 2.888 | 9 |
| 31.32 | 2.856 | 63 |
| 32.09 | 2.789 | 100 |
| 35.62 | 2.521 | 12 |
| 44.90 | 2.019 | 15 |
| 48.13 | 1.891 | 10 |
| 54.81 | 1.675 | 8 |
| 56.20 | 1.637 | 21 |

---

HfZnIn2Mo: calculated powder diffraction line list (Cu Kα (λ = 1.5418 Å)), based on a structure optimized by DFT (GGA-PBE).
Lines closer than 0.1° are merged.

Structure:
Unit cell a=5.343 b=5.343 c=4.889 alpha=90.00 beta=90.00 gamma=90.00
Fractional coordinates of all 5 atoms:
Hf 0.000 0.000 0.000
Zn 0.500 0.500 0.000
In 0.000 0.500 0.500
In 0.500 0.000 0.500
Mo 0.000 0.000 0.500

Principal peaks in the range 10° ≤ 2θ ≤ 90°, sorted by position:
| two_theta | d (Å) | I_rel |
| --- | --- | --- |
| 16.59 | 5.343 | 58 |
| 29.89 | 2.990 | 100 |
| 33.54 | 2.672 | 85 |
| 36.77 | 2.444 | 33 |
| 37.64 | 2.390 | 15 |
| 48.17 | 1.889 | 30 |
| 50.61 | 1.803 | 52 |
| 57.73 | 1.597 | 31 |
| 62.07 | 1.495 | 40 |
| 82.21 | 1.173 | 23 |

---

LiY2Pd3: calculated powder diffraction line list (Cu Kα (λ = 1.5418 Å)), based on a structure optimized by DFT (GGA-PBE).
Lines closer than 0.1° are merged.

Structure:
Unit cell a=4.852 b=4.852 c=11.614 alpha=90.00 beta=90.00 gamma=120.00
Fractional coordinates of all 12 atoms:
Li 0.333 0.667 0.166
Li 0.667 0.333 0.834
Y 0.000 0.000 0.000
Y 0.000 0.000 0.500
Y 0.333 0.667 0.686
Y 0.667 0.333 0.314
Pd 0.000 0.000 0.249
Pd 0.000 0.000 0.751
Pd 0.333 0.667 0.416
Pd 0.333 0.667 0.931
Pd 0.667 0.333 0.069
Pd 0.667 0.333 0.584

Principal peaks in the range 10° ≤ 2θ ≤ 90°, sorted by position:
| two_theta | d (Å) | I_rel |
| --- | --- | --- |
| 22.50 | 3.951 | 11 |
| 26.18 | 3.404 | 21 |
| 37.06 | 2.426 | 100 |
| 37.66 | 2.389 | 89 |
| 53.86 | 1.702 | 31 |
| 66.79 | 1.401 | 17 |
| 67.18 | 1.393 | 31 |
| 68.36 | 1.372 | 14 |
| 78.92 | 1.213 | 11 |
| 80.40 | 1.194 | 9 |

---

Tc5Ir3: calculated powder diffraction line list (Cu Kα (λ = 1.5418 Å)), based on a structure optimized by DFT (GGA-PBE).
Lines closer than 0.1° are merged.

Structure:
Unit cell a=7.049 b=7.049 c=5.168 alpha=108.42 beta=108.42 gamma=85.58
Fractional coordinates of all 16 atoms:
Tc 0.042 0.958 0.750
Tc 0.166 0.582 0.497
Tc 0.206 0.290 0.750
Tc 0.290 0.206 0.250
Tc 0.418 0.834 0.003
Tc 0.582 0.166 0.997
Tc 0.710 0.794 0.750
Tc 0.794 0.710 0.250
Tc 0.834 0.418 0.503
Tc 0.958 0.042 0.250
Ir 0.083 0.667 0.999
Ir 0.333 0.917 0.501
Ir 0.459 0.541 0.250
Ir 0.541 0.459 0.750
Ir 0.667 0.083 0.499
Ir 0.917 0.333 0.001

Principal peaks in the range 10° ≤ 2θ ≤ 90°, sorted by position:
| two_theta | d (Å) | I_rel |
| --- | --- | --- |
| 19.56 | 4.538 | 6 |
| 37.61 | 2.392 | 26 |
| 41.29 | 2.187 | 25 |
| 43.11 | 2.098 | 100 |
| 57.07 | 1.614 | 15 |
| 67.83 | 1.382 | 11 |
| 67.96 | 1.379 | 6 |
| 76.54 | 1.245 | 18 |
| 82.62 | 1.168 | 17 |
| 83.93 | 1.153 | 10 |

---

MgGaPd4: calculated powder diffraction line list (Cu Kα (λ = 1.5418 Å)), based on a structure optimized by DFT (GGA-PBE).
Lines closer than 0.1° are merged.

Structure:
Unit cell a=8.954 b=8.954 c=5.445 alpha=90.00 beta=90.00 gamma=150.57
Fractional coordinates of all 12 atoms:
Mg 0.150 0.850 0.500
Mg 0.850 0.150 0.000
Ga 0.420 0.580 0.500
Ga 0.580 0.420 0.000
Pd 0.151 0.849 0.000
Pd 0.296 0.704 0.249
Pd 0.296 0.704 0.752
Pd 0.440 0.560 0.001
Pd 0.560 0.440 0.501
Pd 0.704 0.296 0.252
Pd 0.704 0.296 0.749
Pd 0.849 0.151 0.500

Principal peaks in the range 10° ≤ 2θ ≤ 90°, sorted by position:
| two_theta | d (Å) | I_rel |
| --- | --- | --- |
| 10.21 | 8.661 | 64 |
| 20.18 | 4.400 | 54 |
| 34.53 | 2.597 | 41 |
| 39.08 | 2.305 | 21 |
| 39.62 | 2.275 | 60 |
| 41.54 | 2.174 | 86 |
| 41.71 | 2.166 | 100 |
| 46.91 | 1.937 | 50 |
| 53.55 | 1.711 | 23 |
| 83.85 | 1.154 | 22 |

---

PrYHoZn: calculated powder diffraction line list (Cu Kα (λ = 1.5418 Å)), based on a structure optimized by DFT (GGA-PBE).
Lines closer than 0.1° are merged.

Structure:
Unit cell a=3.591 b=3.591 c=8.792 alpha=90.00 beta=90.00 gamma=90.00
Fractional coordinates of all 4 atoms:
Pr 0.000 0.000 0.000
Y 0.500 0.500 0.697
Ho 0.500 0.500 0.297
Zn 0.000 0.000 0.494

Principal peaks in the range 10° ≤ 2θ ≤ 90°, sorted by position:
| two_theta | d (Å) | I_rel |
| --- | --- | --- |
| 26.82 | 3.325 | 23 |
| 30.50 | 2.931 | 12 |
| 32.18 | 2.781 | 100 |
| 35.34 | 2.539 | 48 |
| 47.37 | 1.919 | 15 |
| 50.85 | 1.796 | 17 |
| 55.27 | 1.662 | 11 |
| 58.43 | 1.580 | 16 |
| 61.46 | 1.509 | 31 |
| 85.51 | 1.136 | 10 |